This entry pairs a crystal structure of La3GaOs with its calculated powder XRD pattern. Radiation: CuKα. Structure: a crystal structure in Alexandria, relaxed with GGA-PBE.
Intensities are scaled so that the largest is 100.

The 8 most intense peaks (2θ from 10° to 80°), in order of falling intensity:
| 2θ/deg | I/Imax | index |
| --- | --- | --- |
| 34.1 | 100 | 2 2 2 |
| 34.5 | 52 | 2 0 4 |
| 31.0 | 51 | 1 3 1 |
| 39.2 | 50 | 2 2 4 |
| 37.7 | 49 | 0 2 6 |
| 31.7 | 47 | 1 1 5 |
| 10.8 | 43 | 0 0 2 |
| 56.5 | 27 | 1 5 5 |

Crystal structure
Unit cell a=6.738 b=9.782 c=16.376 alpha=90.00 beta=90.00 gamma=90.00
Space group Fmmm (No. 69)
One atom of each set of equivalent atoms:
1 La 0.000 0.000 0.200
2 La 0.000 0.196 0.399
3 Ga 0.188 0.000 0.000
4 Os 0.250 0.250 0.250